Entry 1:
Starting from a cell relaxed with GGA-PBE, the powder XRD pattern of Tb2Fe17C2 was simulated for copper Kα.

Structural model:
```
Tb2Fe17C2
1.0
4.820 -4.300 0.000
4.820 4.300 0.000
-0.964 0.000 6.416
Tb Fe C
2 17 2
Direct
0.153 0.153 0.336 Tb
0.847 0.847 0.664 Tb
0.000 0.500 0.000 Fe
0.155 0.155 0.855 Fe
0.156 0.647 0.341 Fe
0.215 0.498 0.715 Fe
0.215 0.785 0.000 Fe
0.353 0.844 0.659 Fe
0.403 0.403 0.096 Fe
0.498 0.215 0.715 Fe
0.500 0.000 0.000 Fe
0.500 0.500 0.500 Fe
0.502 0.785 0.285 Fe
0.597 0.597 0.904 Fe
0.647 0.156 0.341 Fe
0.785 0.215 0.000 Fe
0.785 0.502 0.285 Fe
0.844 0.353 0.659 Fe
0.845 0.845 0.145 Fe
0.000 0.500 0.500 C
0.500 0.000 0.500 C
```

Principal peaks in the range 2θ = 5–70°, sorted by position:
two_theta, I/Imax
29.96, 51.4
36.14, 33.7
37.73, 38.0
41.86, 58.7
42.43, 100.0
43.82, 46.3



Entry 2:
Starting from a cell relaxed with GGA-PBE, the powder XRD pattern of Cs2BaNdI6 was simulated for copper Kα.

Structural model:
```
Cs2BaNdI6
1.0
8.954 0.000 0.000
0.000 13.069 0.000
0.000 0.000 9.599
Cs Ba Nd I
4 2 2 12
Direct
0.250 0.042 0.198 Cs
0.250 0.458 0.198 Cs
0.750 0.542 0.802 Cs
0.750 0.958 0.802 Cs
0.250 0.250 0.717 Ba
0.750 0.750 0.283 Ba
0.250 0.750 0.779 Nd
0.750 0.250 0.221 Nd
0.006 0.250 0.445 I
0.008 0.750 0.019 I
0.250 0.508 0.777 I
0.250 0.992 0.777 I
0.492 0.750 0.019 I
0.494 0.250 0.445 I
0.506 0.750 0.555 I
0.508 0.250 0.981 I
0.750 0.008 0.223 I
0.750 0.492 0.223 I
0.992 0.250 0.981 I
0.994 0.750 0.555 I
```

Principal peaks in the range 2θ = 5–70°, sorted by position:
two_theta, I/Imax
13.53, 31.4
22.99, 28.3
24.10, 34.3
27.26, 100.0
38.94, 41.4
49.36, 15.1



Entry 3:
Starting from a cell relaxed with GGA-PBE, the powder XRD pattern of CePb6 was simulated for copper Kα.

Structural model:
```
CePb6
1.0
8.554 0.000 0.000
0.000 8.554 0.000
0.000 0.000 8.554
Ce Pb
2 12
Direct
0.000 0.000 0.000 Ce
0.500 0.500 0.500 Ce
0.000 0.250 0.500 Pb
0.000 0.500 0.250 Pb
0.000 0.500 0.750 Pb
0.000 0.750 0.500 Pb
0.250 0.000 0.500 Pb
0.250 0.500 0.000 Pb
0.500 0.000 0.250 Pb
0.500 0.000 0.750 Pb
0.500 0.250 0.000 Pb
0.500 0.750 0.000 Pb
0.750 0.000 0.500 Pb
0.750 0.500 0.000 Pb
```

Principal peaks in the range 2θ = 5–70°, sorted by position:
two_theta, I/Imax
14.65, 41.5
20.77, 40.8
25.51, 100.0
36.39, 53.2
39.42, 65.0
42.26, 41.8



Entry 4:
Starting from a cell relaxed with GGA-PBE, the powder XRD pattern of Mg4Cd3Sn2 was simulated for copper Kα.

Structural model:
```
Mg4Cd3Sn2
1.0
4.520 0.000 0.000
-2.211 4.845 0.000
-2.018 -1.969 9.426
Mg Cd Sn
4 3 2
Direct
0.176 0.183 0.166 Mg
0.275 0.939 0.610 Mg
0.725 0.061 0.390 Mg
0.824 0.817 0.834 Mg
0.398 0.733 0.054 Cd
0.500 0.500 0.500 Cd
0.602 0.267 0.946 Cd
0.042 0.372 0.718 Sn
0.958 0.628 0.282 Sn
```

Principal peaks in the range 2θ = 5–70°, sorted by position:
two_theta, I/Imax
33.27, 58.5
34.25, 54.3
35.19, 100.0
39.05, 37.7
39.91, 35.6
41.11, 31.8



Entry 5:
Starting from a cell relaxed with GGA-PBE, the powder XRD pattern of Cs2PuCl2O2 was simulated for copper Kα.

Structural model:
```
Cs2PuCl2O2
1.0
4.523 0.000 0.000
0.000 4.523 0.000
0.000 0.000 18.055
Cs Pu Cl O
4 2 4 4
Direct
0.000 0.000 0.134 Cs
0.000 0.000 0.866 Cs
0.500 0.500 0.366 Cs
0.500 0.500 0.634 Cs
0.000 0.000 0.500 Pu
0.500 0.500 0.000 Pu
0.000 0.000 0.342 Cl
0.000 0.000 0.658 Cl
0.500 0.500 0.158 Cl
0.500 0.500 0.842 Cl
0.000 0.500 0.000 O
0.000 0.500 0.500 O
0.500 0.000 0.000 O
0.500 0.000 0.500 O
```

Principal peaks in the range 2θ = 5–70°, sorted by position:
two_theta, I/Imax
9.80, 60.5
24.62, 100.0
27.90, 75.7
31.71, 54.4
39.89, 48.9
47.42, 36.4



Entry 6:
Starting from a cell relaxed with GGA-PBE, the powder XRD pattern of BaScZn10 was simulated for copper Kα.

Structural model:
```
BaScZn10
1.0
4.265 0.000 0.000
0.000 5.469 0.000
0.000 0.000 9.417
Ba Sc Zn
1 1 10
Direct
0.000 0.000 0.000 Ba
0.000 0.500 0.500 Sc
0.000 0.000 0.349 Zn
0.000 0.000 0.651 Zn
0.000 0.500 0.190 Zn
0.000 0.500 0.810 Zn
0.500 0.000 0.500 Zn
0.500 0.263 0.272 Zn
0.500 0.263 0.728 Zn
0.500 0.500 0.000 Zn
0.500 0.737 0.272 Zn
0.500 0.737 0.728 Zn
```

Principal peaks in the range 2θ = 5–70°, sorted by position:
two_theta, I/Imax
28.19, 31.3
38.05, 30.0
39.13, 51.6
39.26, 100.0
42.39, 44.9
43.77, 31.3